# LiErH8Ir2
Simulated powder diffractogram, Cu Ka. Input: a DFT-relaxed cell (PBE, Alexandria).
Lines closer than 0.1° are merged.

Structure:
Cell: 7.946 4.321 5.996 Å, 90.00 114.50 90.00°
Space group C2/m (No. 12)
Inequivalent atoms, fractional coordinates:
Li: 0.000 0.000 0.000 x2
Er: 0.000 0.500 0.500 x2
H: 0.064 0.000 0.675 x4
H: 0.164 0.243 0.315 x8
H: 0.246 0.500 0.889 x4
Ir: 0.209 0.500 0.147 x4

Main lines, low angle first (2θ from 10° to 80°):
2θ (°)	I/Imax
23.20	19
23.99	51
26.01	21
31.90	100
35.00	40
36.50	64
39.94	63
41.81	28
50.16	14
53.51	18
55.63	21
65.04	15